No. 1
The following is a calculated XRD peak list of Pr4Ga3Ir. It was derived from a DFT-relaxed cell (GGA-PBE, Alexandria), using Cu Kα.
Intensities are scaled so that the largest is 100.

a b c (Å): 4.3038 4.3930 11.0064
angles (deg): 90.00 90.00 90.00
Positions (direct):
Pr  0.0000  0.0000  0.0000
Pr  0.0000  0.5000  0.4802
Pr  0.5000  0.0000  0.7021
Pr  0.5000  0.5000  0.2070
Ga  0.0000  0.5000  0.7750
Ga  0.5000  0.0000  0.4118
Ga  0.5000  0.5000  0.9183
Ir  0.0000  0.0000  0.2736

Most intense lines, 2θ = 10–80°, in order of rising 2θ:
2θ (°)  Rel. int.
30.18  100.0
31.78  41.0
32.54  18.8
38.19  55.6
38.85  26.4
41.09  27.1
41.98  25.6
53.60  18.7


No. 2
The following is a calculated XRD peak list of PrDyCd4. It was derived from a DFT-relaxed cell (GGA-PBE, Alexandria), using Cu Kα.
Intensities are scaled so that the largest is 100.

a b c (Å): 3.4555 8.7381 5.0427
angles (deg): 90.00 90.09 90.00
Positions (direct):
Pr  0.0000  0.0000  0.0000
Dy  0.0000  0.5000  0.5000
Cd  0.5000  0.1719  0.5000
Cd  0.5000  0.3376  0.0000
Cd  0.5000  0.6624  0.0000
Cd  0.5000  0.8281  0.5000

Most intense lines, 2θ = 10–80°, in order of rising 2θ:
2θ (°)  Rel. int.
33.05  100.0
35.60  83.7
49.36  31.9
53.00  8.7
62.33  31.1
63.94  14.5
65.47  22.6
75.38  8.9


No. 3
The following is a calculated XRD peak list of Mg2ZnNi4Sn2. It was derived from a DFT-relaxed cell (GGA-PBE, Alexandria), using Cu Kα.
Intensities are scaled so that the largest is 100.

a b c (Å): 5.8349 5.8349 5.8349
angles (deg): 118.11 118.11 93.31
Positions (direct):
Mg  0.1964  0.1964  0.0000
Mg  0.8036  0.8036  0.0000
Zn  0.5000  0.5000  0.0000
Ni  0.2305  0.2305  0.4610
Ni  0.2305  0.7695  0.0000
Ni  0.7695  0.2305  0.0000
Ni  0.7695  0.7695  0.5390
Sn  0.2500  0.7500  0.5000
Sn  0.7500  0.2500  0.5000

Most intense lines, 2θ = 10–80°, in order of rising 2θ:
2θ (°)  Rel. int.
30.70  60.6
37.45  100.0
42.61  59.9
45.28  23.1
53.43  23.5
61.84  18.3
63.93  30.4
74.57  30.2


No. 4
The following is a calculated XRD peak list of Pm12ErRu7. It was derived from a DFT-relaxed cell (GGA-PBE, Alexandria), using Cu Kα.
Intensities are scaled so that the largest is 100.

a b c (Å): 9.0603 9.0603 9.0603
angles (deg): 109.82 109.82 109.82
Positions (direct):
Pm  0.1048  0.2511  0.6623
Pm  0.1259  0.4145  0.3344
Pm  0.2511  0.6623  0.1048
Pm  0.3344  0.1259  0.4145
Pm  0.3377  0.8952  0.7489
Pm  0.4145  0.3344  0.1259
Pm  0.5855  0.6656  0.8741
Pm  0.6623  0.1048  0.2511
Pm  0.6656  0.8741  0.5855
Pm  0.7489  0.3377  0.8952
Pm  0.8741  0.5855  0.6656
Pm  0.8952  0.7489  0.3377
Er  0.0000  0.0000  0.0000
Ru  0.0497  0.2877  0.9471
Ru  0.0529  0.9503  0.7123
Ru  0.2877  0.9471  0.0497
Ru  0.5000  0.5000  0.5000
Ru  0.7123  0.0529  0.9503
Ru  0.9471  0.0497  0.2877
Ru  0.9503  0.7123  0.0529

Most intense lines, 2θ = 10–80°, in order of rising 2θ:
2θ (°)  Rel. int.
12.10  19.2
26.96  46.9
30.12  18.0
31.96  22.5
32.19  100.0
38.88  16.0
44.04  43.7
54.28  20.2


No. 5
The following is a calculated XRD peak list of Pu3Tl3GaS8. It was derived from a DFT-relaxed cell (GGA-PBE, Alexandria), using Cu Kα.
Intensities are scaled so that the largest is 100.

a b c (Å): 7.9806 7.9806 8.8077
angles (deg): 116.87 116.87 59.88
Positions (direct):
Pu  0.0000  0.0000  0.0000
Pu  0.0000  0.5000  0.0000
Pu  0.5000  0.0000  0.0000
Tl  0.0000  0.5000  0.5000
Tl  0.5000  0.0000  0.5000
Tl  0.5000  0.5000  0.5000
Ga  0.5000  0.5000  0.0000
S  0.2333  0.2333  0.1971
S  0.2520  0.7157  0.1835
S  0.2781  0.2781  0.8141
S  0.2843  0.7480  0.8165
S  0.7157  0.2520  0.1835
S  0.7219  0.7219  0.1859
S  0.7480  0.2843  0.8165
S  0.7667  0.7667  0.8029

Most intense lines, 2θ = 10–80°, in order of rising 2θ:
2θ (°)  Rel. int.
15.04  25.2
23.68  32.8
27.00  63.8
30.35  100.0
41.35  38.3
45.49  34.0
51.95  17.5
55.67  17.9


No. 6
The following is a calculated XRD peak list of CePm4Dy2. It was derived from a DFT-relaxed cell (GGA-PBE, Alexandria), using Cu Kα.
Intensities are scaled so that the largest is 100.

a b c (Å): 6.2560 3.6130 20.5013
angles (deg): 90.00 90.04 90.00
Positions (direct):
Ce  0.0000  0.0000  0.0000
Ce  0.5000  0.5000  0.0000
Pm  0.1661  0.5000  0.4273
Pm  0.1675  0.5000  0.7104
Pm  0.3323  0.0000  0.1422
Pm  0.3340  0.0000  0.8564
Pm  0.6661  0.0000  0.4273
Pm  0.6675  0.0000  0.7104
Pm  0.8323  0.5000  0.1422
Pm  0.8340  0.5000  0.8564
Dy  0.0004  0.0000  0.5697
Dy  0.4988  0.5000  0.2852
Dy  0.5004  0.5000  0.5697
Dy  0.9988  0.0000  0.2852

Most intense lines, 2θ = 10–80°, in order of rising 2θ:
2θ (°)  Rel. int.
28.87  37.6
30.52  51.3
31.45  100.0
33.56  87.4
50.53  37.9
53.43  21.6
57.56  19.4
60.19  44.7